Record 1
Diffraction record for Tm5BiPt2. The powder XRD pattern is theoretical, not measured: it uses a structure optimized by DFT (GGA-PBE) and Cu Kα (λ = 1.5418 Å).

Cell and atoms:
```
Tm5BiPt2
1.0
-3.834 3.834 6.946
3.834 -3.834 6.946
3.834 3.834 -6.946
Tm Bi Pt
10 2 4
Direct
0.000 0.000 0.000
0.022 0.522 0.814
0.208 0.022 0.500
0.292 0.792 0.814
0.478 0.292 0.500
0.500 0.500 0.000
0.522 0.708 0.500
0.708 0.208 0.186
0.792 0.978 0.500
0.978 0.478 0.186
0.250 0.250 0.000
0.750 0.750 0.000
0.139 0.361 0.500
0.361 0.861 0.223
0.639 0.139 0.777
0.861 0.639 0.500
```

The 12 most intense peaks (15° ≤ 2θ ≤ 90°), sorted by position:
Position (°2θ)  I_rel
30.57  20
32.49  100
33.04  11
34.85  26
37.07  62
41.84  27
52.71  11
53.44  9
57.48  10
66.19  21
69.00  16
81.15  9

=====

Record 2
Diffraction record for Pu4Bi3. The powder XRD pattern is theoretical, not measured: it uses a structure optimized by DFT (GGA-PBE) and Cu Kα (λ = 1.5418 Å).

Cell and atoms:
```
Pu4Bi3
1.0
-4.772 4.772 4.772
4.772 -4.772 4.772
4.772 4.772 -4.772
Pu Bi
8 6
Direct
0.000 0.159 0.500
0.000 0.659 0.500
0.159 0.500 0.000
0.341 0.341 0.341
0.500 0.000 0.159
0.500 0.000 0.659
0.659 0.500 0.000
0.841 0.841 0.841
0.125 0.875 0.250
0.250 0.125 0.875
0.375 0.625 0.750
0.625 0.750 0.375
0.750 0.375 0.625
0.875 0.250 0.125
```

The 12 most intense peaks (15° ≤ 2θ ≤ 90°), sorted by position:
Position (°2θ)  I_rel
22.82  8
29.60  100
35.18  84
42.35  13
44.53  9
46.62  21
48.65  17
59.73  30
61.44  13
63.13  18
72.82  14
88.03  12

=====

Record 3
Diffraction record for PuBi3. The powder XRD pattern is theoretical, not measured: it uses a structure optimized by DFT (GGA-PBE) and Cu Kα (λ = 1.5418 Å).

Cell and atoms:
```
PuBi3
1.0
-2.307 2.307 5.489
2.307 -2.307 5.489
2.307 2.307 -5.489
Pu Bi
1 3
Direct
0.000 0.000 0.000
0.250 0.750 0.500
0.500 0.500 0.000
0.750 0.250 0.500
```

The 12 most intense peaks (15° ≤ 2θ ≤ 90°), sorted by position:
Position (°2θ)  I_rel
31.91  100
32.63  24
39.04  29
51.76  27
56.40  10
57.78  19
66.28  26
66.70  13
68.37  3
81.64  8
83.86  4
85.03  14

=====

Record 4
Diffraction record for PuBi. The powder XRD pattern is theoretical, not measured: it uses a structure optimized by DFT (GGA-PBE) and Cu Kα (λ = 1.5418 Å).

Cell and atoms:
```
PuBi
1.0
0.000 3.220 3.220
3.220 0.000 3.220
3.220 3.220 0.000
Pu Bi
1 1
Direct
0.000 0.000 0.000
0.500 0.500 0.500
```

The 8 most intense peaks (15° ≤ 2θ ≤ 90°), sorted by position:
Position (°2θ)  I_rel
23.94  1
27.71  100
39.59  79
49.01  29
57.23  14
64.75  39
71.82  29
85.26  10

=====

Record 5
Diffraction record for PuBi. The powder XRD pattern is theoretical, not measured: it uses a structure optimized by DFT (GGA-PBE) and Cu Kα (λ = 1.5418 Å).

Cell and atoms:
```
PuBi
1.0
3.870 0.000 0.000
0.000 3.870 0.000
0.000 0.000 3.870
Pu Bi
1 1
Direct
0.000 0.000 0.000
0.500 0.500 0.500
```

The 6 most intense peaks (15° ≤ 2θ ≤ 90°), sorted by position:
Position (°2θ)  I_rel
32.72  100
46.96  19
58.41  40
68.59  13
78.09  18
87.27  5

=====

Record 6
Diffraction record for RbBi2. The powder XRD pattern is theoretical, not measured: it uses a structure optimized by DFT (GGA-PBE) and Cu Kα (λ = 1.5418 Å).

Cell and atoms:
```
RbBi2
1.0
0.000 4.856 4.856
4.856 0.000 4.856
4.856 4.856 0.000
Rb Bi
2 4
Direct
0.125 0.125 0.125
0.875 0.875 0.875
0.000 0.500 0.500
0.500 0.000 0.500
0.500 0.500 0.000
0.500 0.500 0.500
```

The 12 most intense peaks (15° ≤ 2θ ≤ 90°), sorted by position:
Position (°2θ)  I_rel
15.81  45
30.53  100
31.92  71
37.03  23
40.49  14
48.72  37
53.37  37
62.74  13
63.55  31
75.15  24
86.86  13
87.59  14